For Ac3CeSb4, a crystal structure in Alexandria, relaxed with PBE gives the calculated powder diffractogram in this record (Cu Kα X-rays).
No peak broadening, texture or thermal motion is included.

Structural model:
```
Ac3CeSb4
1.0
9.467 0.000 0.000
0.000 13.384 0.000
0.000 0.000 4.735
Ac Ce Sb
6 2 8
Direct
0.000 0.000 0.000
0.250 0.250 0.500
0.250 0.750 0.500
0.500 0.500 0.000
0.750 0.250 0.500
0.750 0.750 0.500
0.000 0.500 0.000
0.500 0.000 0.000
0.000 0.256 0.000
0.000 0.744 0.000
0.239 0.500 0.500
0.261 0.000 0.500
0.500 0.244 0.000
0.500 0.756 0.000
0.739 0.000 0.500
0.761 0.500 0.500
```

Largest 10 diffraction maxima, in order of rising 2θ, 10° ≤ 2θ ≤ 80°:
| d (Å) | Position (°2θ) | I (rel.) | hkl |
| --- | --- | --- | --- |
| 3.865 | 23.0 | 11 | 2 2 0 |
| 3.347 | 26.6 | 100 | 2 0 1 |
| 2.367 | 38.0 | 78 | 0 0 2 |
| 2.018 | 44.9 | 7 | 4 2 1 |
| 1.932 | 47.0 | 29 | 0 4 2 |
| 1.673 | 54.9 | 14 | 4 0 2 |
| 1.536 | 60.3 | 3 | 6 2 0 |
| 1.497 | 62.0 | 37 | 2 0 3 |
| 1.366 | 68.7 | 27 | 2 4 3 |
| 1.288 | 73.5 | 2 | 6 6 0 |



For Tb2SbHPd6, a crystal structure in Alexandria, relaxed with PBE gives the calculated powder diffractogram in this record (Cu Kα X-rays).
No peak broadening, texture or thermal motion is included.

Structural model:
```
Tb2SbHPd6
1.0
5.674 0.000 0.000
2.731 4.978 0.000
2.802 1.688 6.280
Tb Sb H Pd
2 1 1 6
Direct
0.249 0.252 0.193
0.751 0.748 0.807
0.000 0.000 0.000
0.500 0.500 0.500
0.189 0.691 0.349
0.292 0.290 0.726
0.309 0.810 0.652
0.691 0.190 0.348
0.708 0.710 0.274
0.811 0.309 0.651
```

Largest 10 diffraction maxima, in order of rising 2θ, 10° ≤ 2θ ≤ 80°:
| d (Å) | Position (°2θ) | I (rel.) | hkl |
| --- | --- | --- | --- |
| 3.140 | 28.4 | 46 | 0 0 2 |
| 2.623 | 34.2 | 27 | 1 -1 1 |
| 2.421 | 37.1 | 55 | 2 2 1 |
| 2.405 | 37.4 | 100 | 0 2 0 |
| 2.366 | 38.0 | 67 | 2 2 2 |
| 2.360 | 38.1 | 80 | 1 1 3 |
| 2.205 | 40.9 | 73 | 0 2 2 |
| 2.197 | 41.1 | 71 | 2 0 2 |
| 2.119 | 42.7 | 33 | 1 1 -2 |
| 1.383 | 67.8 | 32 | 4 2 3 |